1.
Starting from DFT lattice parameters and positions (GGA-PBE), the powder diffractogram of KInRh2 was computed for λ = 1.5418 Å (Cu Kα).
Peak positions follow from Bragg's law for the DFT cell and can differ from measured ones.

Cell and atoms:
```
4
Lattice="2.9053 0.0000 0.0000 0.0000 4.2651 0.0000 -1.0989 0.0000 7.5846" Properties=species:S:1:pos:R:3 pbc="T T T"
K 0.0000 0.0000 0.0000
In 0.3524 2.1325 4.9193
Rh 0.3669 0.0000 3.1077
Rh 1.8069 2.1325 2.5349
```

Top 12 peaks for 2θ = 10–80°, by intensity:
2θ/deg  I (rel.)
11.67  100
42.35  37
31.59  31
41.01  20
38.20  18
35.51  17
47.39  17
41.52  13
23.94  11
49.32  11
34.92  10
37.73  9


2.
Starting from DFT lattice parameters and positions (GGA-PBE), the powder diffractogram of CaPmPt2 was computed for λ = 1.5418 Å (Cu Kα).
Peak positions follow from Bragg's law for the DFT cell and can differ from measured ones.

Cell and atoms:
```
4
Lattice="3.9468 0.0000 0.0000 0.0000 4.4203 0.0000 -1.9662 0.0000 5.4043" Properties=species:S:1:pos:R:3 pbc="T T T"
Ca 0.0000 0.0000 0.0000
Pm 1.9774 2.2101 2.3664
Pt 0.0081 0.0000 2.9892
Pt 0.0062 2.2101 4.7710
```

Top 12 peaks for 2θ = 10–80°, by intensity:
2θ/deg  I (rel.)
39.53  100
31.50  93
24.00  40
39.07  39
16.40  33
40.83  32
47.95  24
45.99  23
33.15  23
61.89  20
63.16  18
73.46  16


3.
Starting from DFT lattice parameters and positions (GGA-PBE), the powder diffractogram of HfP2RhC was computed for λ = 1.5418 Å (Cu Kα).
Peak positions follow from Bragg's law for the DFT cell and can differ from measured ones.

Cell and atoms:
```
5
Lattice="4.9273 0.0000 0.0000 0.0000 4.9273 0.0000 0.0000 0.0000 4.8486" Properties=species:S:1:pos:R:3 pbc="T T T"
Hf 0.0000 0.0000 0.0000
P 0.0000 2.4636 0.0000
P 2.4636 0.0000 0.0000
Rh 0.0000 0.0000 2.4243
C 2.4636 2.4636 2.4243
```

Top 12 peaks for 2θ = 10–80°, by intensity:
2θ/deg  I (rel.)
18.00  100
25.57  31
36.47  29
40.96  25
41.51  24
56.43  20
52.99  20
37.08  14
45.59  14
52.53  10
66.04  10
18.30  10


4.
Starting from DFT lattice parameters and positions (GGA-PBE), the powder diffractogram of CsZn3Au3 was computed for λ = 1.5418 Å (Cu Kα).
Peak positions follow from Bragg's law for the DFT cell and can differ from measured ones.

Cell and atoms:
```
14
Lattice="3.5513 2.0504 8.5049 -3.5513 2.0504 8.5049 0.0000 -4.1007 8.5049" Properties=species:S:1:pos:R:3 pbc="T T T"
Cs 0.0000 0.0000 4.2459
Cs 0.0000 0.0000 21.2689
Zn -2.0560 0.5253 7.5100
Zn 0.5731 -2.0432 7.5100
Zn -1.4829 -1.5179 18.0047
Zn 1.4829 1.5179 7.5100
Zn -0.5731 2.0432 18.0047
Zn 2.0560 -0.5253 18.0047
Au -1.6433 -0.0026 10.1192
Au -0.8194 -1.4244 15.3955
Au 0.8239 -1.4219 10.1192
Au -0.8239 1.4219 15.3955
Au 0.8194 1.4244 10.1192
Au 1.6433 0.0026 15.3955
```

Top 12 peaks for 2θ = 10–80°, by intensity:
2θ/deg  I (rel.)
27.21  100
39.39  90
10.40  76
31.56  62
38.90  62
46.31  56
22.64  49
20.05  43
32.86  33
48.45  32
50.00  30
56.00  22